Computed powder X-ray diffraction pattern of Er6TmCo3 for Cu Kα, from a structure optimized by DFT (PBE).
Peak positions follow from Bragg's law for the DFT cell and can differ from measured ones.

Main lines, sorted by position (5° ≤ 2θ ≤ 70°):
d = 3.034 Å, intensity 13, hkl 0 4 0; d = 2.838 Å, intensity 26, hkl 4 0 0; d = 2.763 Å, intensity 21, hkl 3 3 0; d = 2.697 Å, intensity 100, hkl 2 2 2; d = 2.675 Å, intensity 14, hkl 2 4 0; d = 2.181 Å, intensity 12, hkl 3 3 2; d = 1.889 Å, intensity 12, hkl 5 1 2; d = 1.610 Å, intensity 15, hkl 6 2 2; d = 1.505 Å, intensity 12, hkl 4 0 4; d = 1.494 Å, intensity 13, hkl 4 6 2

Crystal structure
Unit cell a=11.3515 b=12.1341 c=7.1016 alpha=90.00 beta=90.00 gamma=90.00
Space group Cmc2_1 (No. 36)
Asymmetric unit:
Er: 0.0000 0.0278 0.0000 x4
Er: 0.0000 0.3308 0.7440 x4
Er: 0.2151 0.5004 0.2472 x8
Er: 0.2466 0.2489 0.9866 x8
Tm: 0.0000 0.3183 0.2476 x4
Co: 0.0000 0.4976 0.9958 x4
Co: 0.1092 0.1384 0.7206 x8